Calculated powder X-ray diffraction pattern
Compound: NaCa3Rh
Radiation: copper Kα
Structure: a crystal structure in Alexandria, relaxed with GGA-PBE

Principal peaks in the range 15 to 90 degrees two-theta, in order of rising 2θ:
| 2θ/deg | d_spacing | intensity | index |
| --- | --- | --- | --- |
| 17.2 | 5.158 | 968 | 1 0 0 |
| 17.3 | 5.123 | 963 | 1 0 -1 |
| 19.3 | 4.590 | 535 | 0 2 0 |
| 23.9 | 3.726 | 630 | 0 2 1 |
| 29.6 | 3.014 | 876 | 0 1 2 |
| 31.9 | 2.808 | 1000 | 2 0 -1 |
| 32.4 | 2.759 | 550 | 0 3 1 |
| 32.7 | 2.735 | 446 | 1 2 1 |
| 32.9 | 2.720 | 437 | 1 2 -2 |
| 34.2 | 2.620 | 453 | 0 2 2 |

Atomic structure:
Lattice parameters (Å, degrees): 5.616 9.181 6.949 90.00 113.31 90.00
Fractional positions:
1 Na 0.216 0.250 0.433
2 Na 0.784 0.750 0.567
3 Ca 0.066 0.750 0.131
4 Ca 0.373 0.545 0.746
5 Ca 0.373 0.955 0.746
6 Ca 0.627 0.045 0.254
7 Ca 0.627 0.455 0.254
8 Ca 0.934 0.250 0.869
9 Rh 0.457 0.250 0.915
10 Rh 0.543 0.750 0.085